# CsBeH3
Computed powder X-ray diffraction pattern, Cu Kα. Input: a DFT-relaxed cell (PBE, Alexandria).
Lines closer than 0.1° are merged.

Principal peaks in the range 2θ = 5–70°, low angle first:
2theta  I/Imax
19.12  100.0
22.20  31.9
24.27  54.7
25.65  32.0
28.57  39.1
33.92  26.5

Atomic structure:
```
CsBeH3
1.0
4.560 0.000 0.000
0.000 6.241 0.000
-0.773 0.000 6.947
Cs Be H
2 2 6
Direct
0.172 0.250 0.237
0.828 0.750 0.763
0.421 0.250 0.741
0.579 0.750 0.259
0.306 0.057 0.663
0.306 0.443 0.663
0.352 0.750 0.106
0.648 0.250 0.894
0.694 0.557 0.337
0.694 0.943 0.337
```

# Nd3Ga2Cu
Computed powder X-ray diffraction pattern, Cu Kα. Input: a DFT-relaxed cell (PBE, Alexandria).
Lines closer than 0.1° are merged.

Principal peaks in the range 2θ = 5–70°, low angle first:
2theta  I/Imax
26.18  31.7
29.46  37.9
30.78  100.0
33.95  69.3
36.99  33.6
40.83  48.4

Atomic structure:
```
Nd3Ga2Cu
1.0
12.026 0.000 0.000
0.000 4.421 0.000
0.000 0.000 11.551
Nd Ga Cu
12 8 4
Direct
0.050 0.250 0.127
0.127 0.750 0.561
0.221 0.250 0.800
0.279 0.750 0.300
0.373 0.250 0.061
0.450 0.750 0.627
0.550 0.250 0.373
0.627 0.750 0.939
0.721 0.250 0.700
0.779 0.750 0.200
0.873 0.250 0.439
0.950 0.750 0.873
0.017 0.750 0.316
0.191 0.750 0.000
0.309 0.250 0.500
0.483 0.250 0.816
0.517 0.750 0.184
0.691 0.750 0.500
0.809 0.250 0.000
0.983 0.250 0.684
0.123 0.250 0.376
0.377 0.750 0.876
0.623 0.250 0.124
0.877 0.750 0.624
```

# LiAc2PaS5
Computed powder X-ray diffraction pattern, Cu Kα. Input: a DFT-relaxed cell (PBE, Alexandria).
Lines closer than 0.1° are merged.

Principal peaks in the range 2θ = 5–70°, low angle first:
2theta  I/Imax
22.22  42.1
24.01  61.2
26.75  36.3
31.18  100.0
37.22  58.8
45.73  38.1

Atomic structure:
```
LiAc2PaS5
1.0
2.058 -8.521 0.000
2.058 8.521 0.000
0.000 0.000 12.346
Li Ac Pa S
2 4 2 10
Direct
0.018 0.982 0.500
0.982 0.018 0.000
0.372 0.628 0.331
0.389 0.611 0.720
0.611 0.389 0.220
0.628 0.372 0.831
0.302 0.698 0.034
0.698 0.302 0.534
0.002 0.998 0.808
0.140 0.860 0.031
0.191 0.809 0.383
0.209 0.791 0.686
0.452 0.548 0.086
0.548 0.452 0.586
0.791 0.209 0.186
0.809 0.191 0.883
0.860 0.140 0.531
0.998 0.002 0.308
```